The following is a theoretical powder diffractogram of BaHgBiI6. It was derived from a DFT-relaxed cell (PBE, Alexandria), using copper Kα.
Kinematic intensities with the Lorentz-polarization factor, no thermal factor.

Cell and atoms:
Cell lengths 8.219, 14.249, 7.367 Å; angles 90.00, 90.05, 90.00 degrees
Space group C2 (No. 5)
Inequivalent atoms, fractional coordinates:
1 Ba 0.000 0.000 0.000 x2
2 Hg 0.000 0.334 0.500 x2
3 Bi 0.000 0.667 0.000 x2
4 I 0.142 0.510 0.250 x4
5 I 0.165 0.817 0.250 x4
6 I 0.193 0.174 0.250 x4

The 8 most intense peaks (2θ = 10–80°), by angle:
17.3 deg, 5.120 Å, intensity 76
24.8 deg, 3.590 Å, intensity 100
27.8 deg, 3.206 Å, intensity 25
32.6 deg, 2.743 Å, intensity 96
35.5 deg, 2.528 Å, intensity 34
37.9 deg, 2.374 Å, intensity 58
50.9 deg, 1.795 Å, intensity 25
64.0 deg, 1.455 Å, intensity 25